(1)
Computed powder diffraction line list of Pm2Sm4Y for Cu Ka, from a crystal structure in Alexandria, relaxed with GGA-PBE.

Crystal structure
```
14
Lattice="15.8400 0.0000 0.0000 0.0000 3.6229 0.0000 -3.3422 0.0000 8.2319" Properties=species:S:1:pos:R:3 pbc="T T T"
Pm 2.9137 0.0000 1.1720
Pm 1.6641 1.8114 7.0599
Pm 10.8337 1.8114 1.1720
Pm 9.5841 0.0000 7.0599
Sm -1.2606 0.0000 5.8785
Sm 0.8278 1.8114 3.5258
Sm 3.7500 0.0000 4.7061
Sm 5.8385 1.8114 2.3534
Sm 6.6593 1.8114 5.8785
Sm 8.7478 0.0000 3.5258
Sm 11.6700 1.8114 4.7061
Sm 13.7584 0.0000 2.3534
Y 0.0000 1.8114 0.0000
Y 7.9200 0.0000 0.0000
```

Largest 8 diffraction maxima, most intense first, 2θ = 10–90°:
2θ/deg  I/Imax
30.2  100
50.3  36
35.0  34
59.8  29
34.9  17
59.7  14
81.8  12
62.8  9


(2)
Computed powder diffraction line list of Pm12Sm5Y for Cu Ka, from a crystal structure in Alexandria, relaxed with GGA-PBE.

Crystal structure
```
18
Lattice="10.5610 0.0000 0.0000 0.0000 5.7619 0.0000 -3.5950 0.0000 10.0462" Properties=species:S:1:pos:R:3 pbc="T T T"
Pm -0.5921 0.0000 1.6705
Pm 1.5642 2.8809 0.5636
Pm -0.8285 2.8809 7.2512
Pm 0.6995 0.0000 7.7949
Pm 1.9141 0.0000 4.4627
Pm 4.0752 2.8809 3.3481
Pm 2.8908 2.8809 6.6981
Pm 5.0519 0.0000 5.5835
Pm 6.2665 0.0000 2.2513
Pm 7.7945 2.8809 2.7951
Pm 5.4018 2.8809 9.4826
Pm 7.5582 0.0000 8.3758
Sm 0.3353 2.8809 3.9178
Sm 3.1504 0.0000 1.1150
Sm 5.2805 2.8809 0.0000
Sm 3.8157 0.0000 8.9312
Sm 6.6308 2.8809 6.1285
Y -1.7975 0.0000 5.0231
```

Largest 8 diffraction maxima, most intense first, 2θ = 10–90°:
2θ/deg  I/Imax
31.1  100
30.9  88
44.4  33
61.3  29
55.3  25
55.2  23
78.8  9
40.4  9


(3)
Computed powder diffraction line list of Pm4Sm5Y4 for Cu Ka, from a crystal structure in Alexandria, relaxed with GGA-PBE.

Crystal structure
```
13
Lattice="-6.5352 6.5352 2.5493 6.5352 -6.5352 2.5493 6.5352 6.5352 -2.5493" Properties=species:S:1:pos:R:3 pbc="T T T"
Pm 8.0510 1.0041 0.0000
Pm 1.0041 5.0195 0.0000
Pm 5.5311 1.5157 2.5493
Pm -1.5157 5.5311 2.5493
Sm 0.0000 0.0000 0.0000
Sm 6.0242 4.0332 0.0000
Sm 2.5020 -0.5110 2.5493
Sm 4.0332 7.0463 0.0000
Sm 0.5110 2.5020 2.5493
Y 3.0181 2.0095 0.0000
Y 4.5258 -3.5172 2.5493
Y 2.0095 10.0524 0.0000
Y 3.5172 4.5258 2.5493
```

Largest 8 diffraction maxima, most intense first, 2θ = 10–90°:
2θ/deg  I/Imax
30.3  100
35.0  34
59.9  29
50.5  24
35.2  17
60.1  14
62.9  12
50.3  12


(4)
Computed powder diffraction line list of Pm8Sm6Y for Cu Ka, from a crystal structure in Alexandria, relaxed with GGA-PBE.

Crystal structure
```
15
Lattice="9.5066 0.0000 0.0000 -4.7533 8.2329 0.0000 0.0000 0.0000 6.6594" Properties=species:S:1:pos:R:3 pbc="T T T"
Pm -3.2675 6.1359 1.0776
Pm 1.0732 2.3352 1.0776
Pm 2.5590 0.2382 5.5818
Pm 0.0000 5.4886 0.7476
Pm 4.7533 2.7443 5.9118
Pm 2.1943 7.9947 1.0776
Pm 3.6801 5.8977 5.5818
Pm 8.0208 2.0970 5.5818
Sm -2.2917 5.3883 4.3801
Sm 1.2327 3.5541 4.3801
Sm 3.6943 0.7095 2.2793
Sm 1.0590 7.5235 4.3801
Sm 3.5206 4.6788 2.2793
Sm 7.0450 2.8446 2.2793
Y 0.0000 0.0000 3.3297
```

Largest 8 diffraction maxima, most intense first, 2θ = 10–90°:
2θ/deg  I/Imax
31.7  100
32.8  67
28.7  31
32.6  27
25.4  25
28.9  22
50.2  22
78.0  14